No. 1
Diffraction record for K2SrNb5O15. The powder XRD pattern is simulated, not measured: it uses DFT lattice parameters and positions (PBE) and Cu Kα (λ = 1.5418 Å).

Structure:
Lattice parameters (Å, degrees): 12.7757 12.7757 4.0575 90.00 90.00 90.00
Sites, in units of the cell vectors:
1 K 0.1705 0.3295 0.0000
2 K 0.3295 0.8295 0.0000
3 K 0.6705 0.1705 0.0000
4 K 0.8295 0.6705 0.0000
5 Sr 0.0000 0.0000 0.9988
6 Sr 0.5000 0.5000 0.9988
7 Nb 0.0000 0.5000 0.5087
8 Nb 0.0758 0.7874 0.5017
9 Nb 0.2126 0.0758 0.5017
10 Nb 0.2874 0.5758 0.5017
11 Nb 0.4242 0.2874 0.5017
12 Nb 0.5000 0.0000 0.5087
13 Nb 0.5758 0.7126 0.5017
14 Nb 0.7126 0.4242 0.5017
15 Nb 0.7874 0.9242 0.5017
16 Nb 0.9242 0.2126 0.5017
17 O 0.0000 0.5000 0.9666
18 O 0.0012 0.3442 0.4582
19 O 0.0670 0.1364 0.4617
20 O 0.0712 0.8007 0.9674
21 O 0.1364 0.9330 0.4617
22 O 0.1558 0.4988 0.4582
23 O 0.1993 0.0712 0.9674
24 O 0.2132 0.7132 0.4722
25 O 0.2868 0.2132 0.4722
26 O 0.3007 0.5712 0.9674
27 O 0.3442 0.9988 0.4582
28 O 0.3636 0.4330 0.4617
29 O 0.4288 0.3007 0.9674
30 O 0.4330 0.6364 0.4617
31 O 0.4988 0.8442 0.4582
32 O 0.5000 0.0000 0.9666
33 O 0.5012 0.1558 0.4582
34 O 0.5670 0.3636 0.4617
35 O 0.5712 0.6993 0.9674
36 O 0.6364 0.5670 0.4617
37 O 0.6558 0.0012 0.4582
38 O 0.6993 0.4288 0.9674
39 O 0.7132 0.7868 0.4722
40 O 0.7868 0.2868 0.4722
41 O 0.8007 0.9288 0.9674
42 O 0.8442 0.5012 0.4582
43 O 0.8636 0.0670 0.4617
44 O 0.9288 0.1993 0.9674
45 O 0.9330 0.8636 0.4617
46 O 0.9988 0.6558 0.4582

Top 6 peaks for 15 to 90 degrees two-theta, low angle first:
hkl	d_spacing	Rel. int.
0 0 1	4.053	54
3 2 0	3.543	39
2 1 1	3.308	34
4 1 0	3.099	47
3 1 1	2.861	100
5 5 1	1.651	33

---

No. 2
Diffraction record for K2TaNbO6. The powder XRD pattern is simulated, not measured: it uses DFT lattice parameters and positions (PBE) and Cu Kα (λ = 1.5418 Å).

Structure:
Lattice parameters (Å, degrees): 4.0515 4.0515 8.0999 90.00 90.00 90.00
Sites, in units of the cell vectors:
1 K 0.0000 0.0000 0.2488
2 K 0.0000 0.0000 0.7512
3 Ta 0.5000 0.5000 0.5000
4 Nb 0.5000 0.5000 0.0000
5 O 0.0000 0.5000 0.0000
6 O 0.0000 0.5000 0.5000
7 O 0.5000 0.0000 0.0000
8 O 0.5000 0.0000 0.5000
9 O 0.5000 0.5000 0.2520
10 O 0.5000 0.5000 0.7480

Top 6 peaks for 15 to 90 degrees two-theta, low angle first:
hkl	d_spacing	Rel. int.
1 0 0	4.051	60
1 1 0	2.864	100
2 0 0	2.025	35
2 1 0	1.812	26
2 1 2	1.654	39
2 2 0	1.432	21

---

Question: Number 1 is which compound?
Answer: K2SrNb5O15

---

Copy entry 1 word for word.
Diffraction record for K2SrNb5O15. The powder XRD pattern is simulated, not measured: it uses DFT lattice parameters and positions (PBE) and Cu Kα (λ = 1.5418 Å).

Structure:
Lattice parameters (Å, degrees): 12.7757 12.7757 4.0575 90.00 90.00 90.00
Sites, in units of the cell vectors:
1 K 0.1705 0.3295 0.0000
2 K 0.3295 0.8295 0.0000
3 K 0.6705 0.1705 0.0000
4 K 0.8295 0.6705 0.0000
5 Sr 0.0000 0.0000 0.9988
6 Sr 0.5000 0.5000 0.9988
7 Nb 0.0000 0.5000 0.5087
8 Nb 0.0758 0.7874 0.5017
9 Nb 0.2126 0.0758 0.5017
10 Nb 0.2874 0.5758 0.5017
11 Nb 0.4242 0.2874 0.5017
12 Nb 0.5000 0.0000 0.5087
13 Nb 0.5758 0.7126 0.5017
14 Nb 0.7126 0.4242 0.5017
15 Nb 0.7874 0.9242 0.5017
16 Nb 0.9242 0.2126 0.5017
17 O 0.0000 0.5000 0.9666
18 O 0.0012 0.3442 0.4582
19 O 0.0670 0.1364 0.4617
20 O 0.0712 0.8007 0.9674
21 O 0.1364 0.9330 0.4617
22 O 0.1558 0.4988 0.4582
23 O 0.1993 0.0712 0.9674
24 O 0.2132 0.7132 0.4722
25 O 0.2868 0.2132 0.4722
26 O 0.3007 0.5712 0.9674
27 O 0.3442 0.9988 0.4582
28 O 0.3636 0.4330 0.4617
29 O 0.4288 0.3007 0.9674
30 O 0.4330 0.6364 0.4617
31 O 0.4988 0.8442 0.4582
32 O 0.5000 0.0000 0.9666
33 O 0.5012 0.1558 0.4582
34 O 0.5670 0.3636 0.4617
35 O 0.5712 0.6993 0.9674
36 O 0.6364 0.5670 0.4617
37 O 0.6558 0.0012 0.4582
38 O 0.6993 0.4288 0.9674
39 O 0.7132 0.7868 0.4722
40 O 0.7868 0.2868 0.4722
41 O 0.8007 0.9288 0.9674
42 O 0.8442 0.5012 0.4582
43 O 0.8636 0.0670 0.4617
44 O 0.9288 0.1993 0.9674
45 O 0.9330 0.8636 0.4617
46 O 0.9988 0.6558 0.4582

Top 6 peaks for 15 to 90 degrees two-theta, low angle first:
hkl	d_spacing	Rel. int.
0 0 1	4.053	54
3 2 0	3.543	39
2 1 1	3.308	34
4 1 0	3.099	47
3 1 1	2.861	100
5 5 1	1.651	33